Structure and calculated X-ray diffraction stick pattern of CsZr6MnCl14 (the GGA-PBE geometry in Alexandria; a wavelength of 1.5418 Å).

Crystal structure
Cell: 14.774 13.381 12.133 Å, 90.00 90.00 90.00°
Space group Cmce (No. 64)
Symmetry-distinct sites (fractional):
Cs1 0.000 0.000 0.000
Zr1 0.000 0.148 0.389
Zr2 0.119 0.072 0.617
Mn1 0.000 0.000 0.500
Cl1 0.000 0.158 0.753
Cl2 0.121 0.083 0.254
Cl3 0.122 0.238 0.506
Cl4 0.248 0.000 0.500
Cl5 0.250 0.146 0.750

Most intense lines, 10° ≤ 2θ ≤ 80°, sorted by position:
2θ = 11.52°, I 100.0, (1 1 1); 2θ = 11.98°, I 59.3, (2 0 0); 2θ = 13.23°, I 41.1, (0 2 0); 2θ = 23.76°, I 31.0, (1 1 3); 2θ = 24.21°, I 26.8, (3 1 2); 2θ = 30.51°, I 33.8, (0 4 2); 2θ = 31.35°, I 50.0, (4 2 2); 2θ = 34.81°, I 31.8, (0 4 3); 2θ = 35.55°, I 61.7, (4 2 3); 2θ = 37.23°, I 27.1, (1 5 2); 2θ = 40.79°, I 29.8, (4 2 4); 2θ = 47.63°, I 38.4, (4 6 0)


Structure and calculated X-ray diffraction stick pattern of TiInAu (the GGA-PBE geometry in Alexandria; a wavelength of 1.5418 Å).

Crystal structure
Cell: 4.223 4.115 6.830 Å, 90.00 108.10 90.00°
Space group P2/m (No. 10)
Symmetry-distinct sites (fractional):
Ti1 0.000 0.000 0.000
Ti2 0.500 0.500 0.000
In1 0.165 0.500 0.328
Au1 0.346 0.000 0.695

Most intense lines, 10° ≤ 2θ ≤ 80°, sorted by position:
2θ = 13.64°, I 10.9, (0 0 1); 2θ = 27.48°, I 12.1, (0 0 2); 2θ = 31.12°, I 19.7, (1 1 -1); 2θ = 36.90°, I 100.0, (1 1 1); 2θ = 41.74°, I 15.7, (0 0 3); 2θ = 42.83°, I 17.1, (2 0 -1); 2θ = 44.01°, I 15.8, (0 2 0); 2θ = 62.26°, I 9.4, (0 2 3); 2θ = 63.09°, I 10.6, (2 2 -1); 2θ = 73.02°, I 9.4, (1 1 4); 2θ = 76.22°, I 11.8, (1 3 1); 2θ = 78.53°, I 9.6, (2 2 2)


Structure and calculated X-ray diffraction stick pattern of ScTi4Ga4 (the GGA-PBE geometry in Alexandria; a wavelength of 1.5418 Å).

Crystal structure
Cell: 7.803 7.803 5.112 Å, 90.00 90.00 90.00°
Space group P4_2/n (No. 86, origin choice 2)
Symmetry-distinct sites (fractional):
Sc1 0.250 0.250 0.250
Ti1 0.099 0.813 0.634
Ga1 0.037 0.132 0.844

Most intense lines, 10° ≤ 2θ ≤ 80°, sorted by position:
2θ = 23.73°, I 18.7, (1 1 1); 2θ = 31.03°, I 23.4, (1 2 1); 2θ = 36.41°, I 87.5, (3 1 0); 2θ = 37.02°, I 91.1, (1 0 2); 2θ = 38.85°, I 100.0, (3 0 1); 2θ = 40.60°, I 20.9, (1 3 1); 2θ = 43.91°, I 70.8, (2 1 2); 2θ = 45.52°, I 66.2, (2 3 1); 2θ = 50.05°, I 18.3, (4 0 1); 2θ = 70.73°, I 25.5, (5 0 2); 2θ = 76.57°, I 21.5, (6 1 1); 2θ = 77.35°, I 16.0, (2 6 0)


Structure and calculated X-ray diffraction stick pattern of Ac4DyAs5 (the GGA-PBE geometry in Alexandria; a wavelength of 1.5418 Å).

Crystal structure
Cell: 9.989 9.989 6.344 Å, 90.00 90.00 90.00°
Space group I4/m (No. 87)
Symmetry-distinct sites (fractional):
Ac1 0.097 0.701 0.000
Dy1 0.000 0.000 0.500
As1 0.000 0.000 0.000
As2 0.095 0.712 0.500

Most intense lines, 10° ≤ 2θ ≤ 80°, sorted by position:
2θ = 24.37°, I 51.5, (1 2 1); 2θ = 28.13°, I 43.5, (0 0 2); 2θ = 28.25°, I 86.1, (3 1 0); 2θ = 40.32°, I 100.0, (3 1 2); 2θ = 47.58°, I 9.2, (1 2 3); 2θ = 47.73°, I 18.7, (5 0 1); 2θ = 49.94°, I 35.9, (2 4 2); 2θ = 58.43°, I 11.1, (6 2 0); 2θ = 65.90°, I 16.0, (3 1 4); 2θ = 66.12°, I 30.5, (6 2 2); 2θ = 73.19°, I 11.6, (2 4 4); 2θ = 73.37°, I 22.6, (5 5 2)


Structure and calculated X-ray diffraction stick pattern of Sm8Te3C3N (the GGA-PBE geometry in Alexandria; a wavelength of 1.5418 Å).

Crystal structure
Cell: 7.6898 7.6898 21.7112 Å, 90.00 90.00 120.00°
Space group R-3m (No. 166, hexagonal axes)
Symmetry-distinct sites (fractional):
Sm1 0.0000 0.0000 0.2301
Sm2 0.0004 0.5002 0.2289
Te1 0.0000 0.5000 0.0000
C1 0.0000 0.5000 0.5000
N1 0.0000 0.0000 0.5000

Most intense lines, 10° ≤ 2θ ≤ 80°, sorted by position:
2θ = 27.09°, I 16.0, (0 2 1); 2θ = 28.03°, I 34.4, (2 0 2); 2θ = 31.52°, I 100.0, (0 2 4); 2θ = 33.93°, I 44.4, (2 0 5); 2θ = 37.27°, I 20.5, (0 0 9); 2θ = 43.00°, I 20.5, (2 0 8); 2θ = 47.28°, I 39.5, (2 2 0); 2θ = 54.01°, I 11.9, (2 0 11); 2θ = 57.94°, I 17.4, (4 0 4); 2θ = 61.70°, I 28.7, (2 2 9); 2θ = 62.18°, I 15.6, (0 2 13); 2θ = 77.92°, I 14.5, (2 4 4)


Structure and calculated X-ray diffraction stick pattern of YTmPd14 (the GGA-PBE geometry in Alexandria; a wavelength of 1.5418 Å).

Crystal structure
Cell: 5.732 5.732 8.005 Å, 90.00 90.00 90.00°
Space group P4/mmm (No. 123)
Symmetry-distinct sites (fractional):
Y1 0.000 0.000 0.000
Tm1 0.500 0.500 0.000
Pd1 0.000 0.000 0.500
Pd2 0.000 0.500 0.000
Pd3 0.000 0.500 0.500
Pd4 0.251 0.251 0.258
Pd5 0.500 0.500 0.500

Most intense lines, 10° ≤ 2θ ≤ 80°, sorted by position:
2θ = 15.46°, I 1.0, (1 0 0); 2θ = 19.04°, I 1.1, (1 0 1); 2θ = 38.64°, I 100.0, (2 0 2); 2θ = 44.71°, I 33.0, (2 2 0); 2θ = 45.31°, I 15.6, (0 0 4); 2θ = 65.09°, I 10.5, (4 0 0); 2θ = 65.55°, I 20.2, (2 2 4); 2θ = 78.32°, I 24.5, (4 2 2); 2θ = 79.19°, I 11.5, (2 0 6)


Structure and calculated X-ray diffraction stick pattern of NaTlGa (the GGA-PBE geometry in Alexandria; a wavelength of 1.5418 Å).

Crystal structure
Cell: 12.136 3.556 7.867 Å, 90.00 113.62 90.00°
Space group Cm (No. 8)
Symmetry-distinct sites (fractional):
Na1 0.000 0.000 0.000
Na2 0.192 0.500 0.808
Tl1 0.036 0.000 0.434
Tl2 0.362 0.000 0.615
Ga1 0.210 0.500 0.284
Ga2 0.333 0.000 0.162

Most intense lines, 10° ≤ 2θ ≤ 80°, sorted by position:
2θ = 12.28°, I 100.0, (0 0 1); 2θ = 23.81°, I 19.4, (2 0 1); 2θ = 27.70°, I 31.1, (1 1 -1); 2θ = 29.44°, I 19.6, (4 0 -1); 2θ = 31.82°, I 34.6, (4 0 -2); 2θ = 33.67°, I 21.9, (3 1 -1); 2θ = 34.04°, I 72.8, (1 1 -2); 2θ = 34.21°, I 14.5, (2 0 -3); 2θ = 34.66°, I 38.4, (2 0 2); 2θ = 34.96°, I 71.6, (3 1 0); 2θ = 49.13°, I 18.2, (6 0 0); 2θ = 50.35°, I 14.8, (5 1 -3)


Structure and calculated X-ray diffraction stick pattern of NdThAl4 (the GGA-PBE geometry in Alexandria; a wavelength of 1.5418 Å).

Crystal structure
Cell: 4.329 4.329 15.308 Å, 90.00 90.00 90.00°
Space group I-4m2 (No. 119)
Symmetry-distinct sites (fractional):
Nd1 0.000 0.000 0.000
Th1 0.000 0.500 0.250
Al1 0.000 0.000 0.417
Al2 0.000 0.500 0.668

Most intense lines, 10° ≤ 2θ ≤ 80°, sorted by position:
2θ = 21.33°, I 56.8, (1 0 1); 2θ = 23.24°, I 29.1, (0 0 4); 2θ = 27.01°, I 57.6, (1 0 3); 2θ = 31.47°, I 100.0, (1 1 2); 2θ = 35.93°, I 42.8, (1 0 5); 2θ = 41.73°, I 29.4, (2 0 0); 2θ = 46.53°, I 21.1, (1 0 7); 2θ = 48.31°, I 17.3, (2 0 4); 2θ = 50.41°, I 21.4, (2 1 3); 2θ = 56.21°, I 23.8, (2 1 5); 2θ = 64.26°, I 16.2, (2 1 7); 2θ = 69.79°, I 20.6, (3 1 2)


Structure and calculated X-ray diffraction stick pattern of Pm2In5Pt4 (the GGA-PBE geometry in Alexandria; a wavelength of 1.5418 Å).

Crystal structure
Cell: 5.846 12.823 14.355 Å, 90.00 90.00 90.00°
Space group Fmmm (No. 69)
Symmetry-distinct sites (fractional):
Pm1 0.000 0.000 0.166
In1 0.000 0.000 0.500
In2 0.250 0.250 0.000
In3 0.250 0.250 0.250
Pt1 0.000 0.111 0.347

Most intense lines, 10° ≤ 2θ ≤ 80°, sorted by position:
2θ = 12.33°, I 33.0, (0 0 2); 2θ = 17.78°, I 65.0, (1 1 1); 2θ = 28.50°, I 41.4, (0 2 4); 2θ = 30.58°, I 27.8, (2 0 0); 2θ = 31.98°, I 100.0, (1 3 3); 2θ = 33.70°, I 75.4, (2 2 0); 2θ = 37.61°, I 83.4, (0 0 6); 2θ = 39.77°, I 54.4, (2 0 4); 2θ = 41.82°, I 24.0, (2 4 0); 2θ = 42.90°, I 92.5, (1 5 3); 2θ = 49.21°, I 29.3, (2 0 6); 2θ = 62.97°, I 29.8, (3 5 3)


Structure and calculated X-ray diffraction stick pattern of La2Y3Co (the GGA-PBE geometry in Alexandria; a wavelength of 1.5418 Å).

Crystal structure
Cell: 6.734 6.804 8.513 Å, 80.59 72.23 81.91°
Space group P-1 (No. 2)
Symmetry-distinct sites (fractional):
La1 0.120 0.169 0.089
La2 0.280 0.663 0.153
Y1 0.097 0.221 0.482
Y2 0.310 0.484 0.682
Y3 0.407 0.944 0.718
Co1 0.320 0.808 0.440

Most intense lines, 10° ≤ 2θ ≤ 80°, sorted by position:
2θ = 27.57°, I 23.9, (0 2 1); 2θ = 28.24°, I 56.5, (1 -1 2); 2θ = 28.94°, I 35.0, (1 2 0); 2θ = 29.48°, I 66.3, (1 0 -2); 2θ = 30.82°, I 49.5, (2 1 2); 2θ = 32.25°, I 100.0, (2 -1 0); 2θ = 32.59°, I 53.8, (0 2 2); 2θ = 32.73°, I 28.6, (1 1 3); 2θ = 33.14°, I 43.5, (1 -2 1); 2θ = 33.69°, I 30.4, (1 2 -1); 2θ = 43.37°, I 19.1, (3 1 0); 2θ = 50.76°, I 21.8, (3 -1 3)


Structure and calculated X-ray diffraction stick pattern of TbThTlAg (the GGA-PBE geometry in Alexandria; a wavelength of 1.5418 Å).

Crystal structure
Cell: 7.588 7.588 7.588 Å, 90.00 90.00 90.00°
Space group F-43m (No. 216)
Symmetry-distinct sites (fractional):
Tb1 0.000 0.000 0.000
Th1 0.000 0.000 0.500
Tl1 0.250 0.250 0.250
Ag1 0.250 0.250 0.750

Most intense lines, 10° ≤ 2θ ≤ 80°, sorted by position:
2θ = 20.27°, I 5.3, (1 1 1); 2θ = 23.45°, I 1.1, (2 0 0); 2θ = 33.40°, I 100.0, (2 2 0); 2θ = 39.38°, I 3.2, (3 1 1); 2θ = 47.96°, I 18.3, (4 0 0); 2θ = 52.57°, I 1.5, (3 3 1); 2θ = 54.05°, I 0.6, (4 2 0); 2θ = 59.70°, I 38.1, (4 2 2); 2θ = 63.73°, I 1.2, (5 1 1); 2θ = 70.16°, I 11.8, (4 4 0); 2θ = 73.89°, I 1.2, (5 3 1); 2θ = 79.96°, I 16.6, (6 2 0)


Structure and calculated X-ray diffraction stick pattern of Pr15Tm4Tl (the GGA-PBE geometry in Alexandria; a wavelength of 1.5418 Å).

Crystal structure
Cell: 5.135 5.135 25.864 Å, 90.00 90.00 90.00°
Space group P4/mmm (No. 123)
Symmetry-distinct sites (fractional):
Pr1 0.000 0.000 0.000
Pr2 0.000 0.000 0.198
Pr3 0.000 0.000 0.399
Pr4 0.000 0.500 0.098
Pr5 0.000 0.500 0.299
Pr6 0.000 0.500 0.500
Tm1 0.500 0.500 0.199
Tm2 0.500 0.500 0.400
Tl1 0.500 0.500 0.000

Most intense lines, 10° ≤ 2θ ≤ 80°, sorted by position:
2θ = 17.27°, I 0.5, (1 0 0); 2θ = 24.46°, I 0.7, (1 0 5); 2θ = 30.07°, I 100.0, (1 1 5); 2θ = 34.68°, I 17.1, (0 0 10); 2θ = 34.95°, I 33.6, (2 0 0); 2θ = 50.06°, I 24.2, (2 0 10); 2θ = 50.26°, I 12.0, (2 2 0); 2θ = 59.33°, I 14.4, (1 1 15); 2θ = 59.69°, I 28.7, (3 1 5); 2θ = 62.51°, I 12.4, (2 2 10); 2θ = 73.19°, I 1.9, (0 0 20); 2θ = 73.82°, I 3.8, (4 0 0)